# 1
Starting from a crystal structure in the Materials Project, relaxed with GGA+U, the powder X-ray diffraction pattern of LiFeSi2O6 was calculated for Cu Kα, 1.54184 Å.
Peak positions follow from Bragg's law for the DFT cell and can differ from measured ones.

Top 6 peaks for 2θ = 5–70°, low angle first:
h k l, two_theta, Rel. int.
0 2 1, 18.54, 6
2 0 1, 18.63, 9
1 1 2, 21.77, 24
2 2 1, 24.68, 100
4 4 0, 46.66, 12
2 2 5, 53.26, 6

Cell and atoms:
a b c (Å): 10.9761 11.0358 9.5897
angles (deg): 90.00 90.00 90.00
Space group C222_1 (No. 20)
One atom of each set of equivalent atoms:
Li 0.0000 0.1720 0.2500
Li 0.0993 0.5000 0.5000
Fe 0.0908 0.2227 0.9862
Si 0.0000 0.4292 0.7500
Si 0.1096 0.0000 0.5000
Si 0.2160 0.3829 0.2376
O 0.0201 0.3574 0.8952
O 0.0260 0.1112 0.4412
O 0.1154 0.4833 0.2965
O 0.1406 0.2714 0.1677
O 0.1965 0.0483 0.6263
O 0.2106 0.1547 0.8767

***

# 2
Starting from a crystal structure in the Materials Project, relaxed with GGA+U, the powder X-ray diffraction pattern of Li2FeSiO4 was calculated for Cu Kα, 1.54184 Å.
Peak positions follow from Bragg's law for the DFT cell and can differ from measured ones.

Top 6 peaks for 2θ = 5–70°, low angle first:
h k l, two_theta, Rel. int.
0 0 1, 13.96, 100
0 1 -1, 21.09, 40
1 0 1, 22.55, 43
-1 1 1, 28.11, 59
0 2 0, 32.63, 39
2 0 0, 35.67, 57

Cell and atoms:
a b c (Å): 5.0346 5.4904 6.3449
angles (deg): 91.73 90.01 90.09
Space group P1 (No. 1)
One atom of each set of equivalent atoms:
Li 0.0000 0.0000 0.0000
Li 0.0011 0.4864 0.7795
Li 0.5002 0.8140 0.7721
Li 0.5016 0.3013 0.5511
Fe 0.0090 0.4688 0.2907
Fe 0.5082 0.8333 0.2609
Si 0.4956 0.3274 0.0200
Si 0.9954 0.9737 0.5318
O 0.0908 0.8374 0.3001
O 0.0998 0.2598 0.5300
O 0.1084 0.8300 0.7333
O 0.1670 0.3307 0.0228
O 0.5909 0.4643 0.2518
O 0.5989 0.0410 0.0209
O 0.6091 0.4706 0.8184
O 0.6668 0.9705 0.5289

***

# 3
Starting from a crystal structure in the Materials Project, relaxed with GGA+U, the powder X-ray diffraction pattern of LiFeSiO4 was calculated for Cu Kα, 1.54184 Å.
Peak positions follow from Bragg's law for the DFT cell and can differ from measured ones.

Top 6 peaks for 2θ = 5–70°, low angle first:
h k l, two_theta, Rel. int.
1 0 1, 22.14, 100
1 1 2, 34.88, 63
1 2 1, 45.93, 15
2 1 3, 55.46, 15
2 0 4, 59.19, 18
3 1 2, 68.97, 12

Cell and atoms:
a b c (Å): 4.5395 4.5395 8.5999
angles (deg): 90.00 90.00 90.00
Space group I-4 (No. 82)
One atom of each set of equivalent atoms:
Li 0.0000 0.0000 0.0000
Fe 0.0000 0.5000 0.2500
Si 0.0000 0.0000 0.5000
O 0.1832 0.7618 0.3917